Entry 1:
Diffraction record for Y5UAs6. The X-ray powder pattern is simulated, not measured: it uses the PBE geometry in Alexandria and CuKα.
Kinematic intensities with the Lorentz-polarization factor, no thermal factor.

Top 10 peaks for 10° ≤ 2θ ≤ 90°, low angle first:
| 2θ/deg | I/Imax |
| --- | --- |
| 15.02 | 5 |
| 16.85 | 4 |
| 26.54 | 7 |
| 30.74 | 100 |
| 44.03 | 74 |
| 52.14 | 4 |
| 54.65 | 26 |
| 64.02 | 12 |
| 72.69 | 33 |
| 80.96 | 24 |

Structural model:
Cell: 7.127 7.127 7.123 Å, 99.59 99.59 120.03°
Element x y z (fractional)
Y 0.000 0.000 0.000
Y 0.166 0.834 0.500
Y 0.332 0.668 0.000
Y 0.668 0.332 0.000
Y 0.834 0.166 0.500
U 0.500 0.500 0.500
As 0.089 0.417 0.252
As 0.255 0.255 0.747
As 0.417 0.089 0.252
As 0.583 0.911 0.748
As 0.745 0.745 0.253
As 0.911 0.583 0.748

***

Entry 2:
Diffraction record for Zr2UAs4. The X-ray powder pattern is simulated, not measured: it uses the PBE geometry in Alexandria and CuKα.
Kinematic intensities with the Lorentz-polarization factor, no thermal factor.

Top 10 peaks for 10° ≤ 2θ ≤ 90°, low angle first:
| 2θ/deg | I/Imax |
| --- | --- |
| 15.67 | 28 |
| 25.01 | 70 |
| 31.05 | 35 |
| 32.23 | 100 |
| 34.44 | 57 |
| 42.58 | 52 |
| 45.22 | 29 |
| 46.93 | 27 |
| 48.27 | 22 |
| 69.61 | 15 |

Structural model:
Cell: 6.577 6.577 12.961 Å, 90.00 90.00 145.76°
Element x y z (fractional)
Zr 0.135 0.865 0.559
Zr 0.135 0.865 0.941
Zr 0.865 0.135 0.059
Zr 0.865 0.135 0.441
U 0.390 0.610 0.750
U 0.610 0.390 0.250
As 0.055 0.945 0.750
As 0.230 0.770 0.132
As 0.230 0.770 0.368
As 0.500 0.500 0.000
As 0.500 0.500 0.500
As 0.770 0.230 0.632
As 0.770 0.230 0.868
As 0.945 0.055 0.250

***

Entry 3:
Diffraction record for V4As3. The X-ray powder pattern is simulated, not measured: it uses the PBE geometry in Alexandria and CuKα.
Kinematic intensities with the Lorentz-polarization factor, no thermal factor.

Top 10 peaks for 10° ≤ 2θ ≤ 90°, low angle first:
| 2θ/deg | I/Imax |
| --- | --- |
| 33.51 | 52 |
| 34.69 | 70 |
| 36.86 | 36 |
| 40.84 | 100 |
| 41.05 | 58 |
| 42.38 | 59 |
| 44.93 | 30 |
| 45.39 | 34 |
| 49.91 | 69 |
| 54.48 | 62 |

Structural model:
Cell: 7.140 7.140 9.111 Å, 100.45 100.45 27.28°
Element x y z (fractional)
V 0.000 0.000 0.000
V 0.000 0.000 0.500
V 0.226 0.226 0.689
V 0.337 0.337 0.052
V 0.440 0.440 0.772
V 0.560 0.560 0.228
V 0.663 0.663 0.948
V 0.774 0.774 0.311
As 0.071 0.071 0.767
As 0.175 0.175 0.154
As 0.357 0.357 0.507
As 0.643 0.643 0.493
As 0.825 0.825 0.846
As 0.929 0.929 0.233

***

Entry 4:
Diffraction record for V20As11. The X-ray powder pattern is simulated, not measured: it uses the PBE geometry in Alexandria and CuKα.
Kinematic intensities with the Lorentz-polarization factor, no thermal factor.

Top 10 peaks for 10° ≤ 2θ ≤ 90°, low angle first:
| 2θ/deg | I/Imax |
| --- | --- |
| 28.01 | 19 |
| 37.05 | 22 |
| 39.08 | 30 |
| 41.86 | 50 |
| 42.83 | 49 |
| 43.70 | 100 |
| 46.25 | 25 |
| 55.74 | 21 |
| 71.39 | 23 |
| 83.97 | 15 |

Structural model:
Cell: 7.106 7.106 13.351 Å, 90.00 90.00 140.07°
Element x y z (fractional)
V 0.086 0.380 0.927
V 0.097 0.403 0.575
V 0.158 0.306 0.147
V 0.174 0.323 0.347
V 0.250 0.750 0.247
V 0.250 0.750 0.753
V 0.306 0.158 0.853
V 0.323 0.174 0.653
V 0.380 0.086 0.073
V 0.403 0.097 0.425
V 0.597 0.903 0.425
V 0.620 0.914 0.073
V 0.677 0.826 0.653
V 0.694 0.842 0.853
V 0.750 0.250 0.247
V 0.750 0.250 0.753
V 0.826 0.677 0.347
V 0.842 0.694 0.147
V 0.903 0.597 0.575
V 0.914 0.620 0.927
As 0.000 0.000 0.500
As 0.000 0.500 0.083
As 0.000 0.500 0.413
As 0.167 0.336 0.752
As 0.336 0.167 0.248
As 0.500 0.000 0.587
As 0.500 0.000 0.917
As 0.500 0.500 0.000
As 0.500 0.500 0.500
As 0.664 0.833 0.248
As 0.833 0.664 0.752

***

Entry 5:
Diffraction record for Y2VAs2. The X-ray powder pattern is simulated, not measured: it uses the PBE geometry in Alexandria and CuKα.
Kinematic intensities with the Lorentz-polarization factor, no thermal factor.

Top 10 peaks for 10° ≤ 2θ ≤ 90°, low angle first:
| 2θ/deg | I/Imax |
| --- | --- |
| 17.20 | 6 |
| 35.37 | 100 |
| 39.06 | 31 |
| 44.88 | 14 |
| 53.30 | 9 |
| 56.83 | 15 |
| 60.98 | 16 |
| 72.16 | 7 |
| 73.80 | 15 |
| 76.55 | 10 |

Structural model:
Cell: 7.292 7.292 4.039 Å, 90.00 90.00 90.00°
Element x y z (fractional)
Y 0.160 0.340 0.000
Y 0.340 0.840 0.000
Y 0.660 0.160 0.000
Y 0.840 0.660 0.000
V 0.000 0.000 0.500
V 0.500 0.500 0.500
As 0.152 0.652 0.500
As 0.348 0.152 0.500
As 0.652 0.848 0.500
As 0.848 0.348 0.500

***

Entry 6:
Diffraction record for VZnAs2. The X-ray powder pattern is simulated, not measured: it uses the PBE geometry in Alexandria and CuKα.
Kinematic intensities with the Lorentz-polarization factor, no thermal factor.

Top 10 peaks for 10° ≤ 2θ ≤ 90°, low angle first:
| 2θ/deg | I/Imax |
| --- | --- |
| 32.06 | 26 |
| 33.07 | 77 |
| 33.66 | 100 |
| 37.55 | 44 |
| 43.99 | 41 |
| 49.33 | 85 |
| 52.26 | 23 |
| 58.69 | 50 |
| 75.60 | 19 |
| 80.14 | 22 |

Structural model:
Cell: 8.571 8.571 8.571 Å, 21.15 21.15 21.15°
Element x y z (fractional)
V 0.000 0.000 0.000
Zn 0.500 0.500 0.500
As 0.401 0.401 0.401
As 0.599 0.599 0.599